Record 1
Structure and theoretical powder diffraction line list of KSrBiWO6 (a cell relaxed with GGA+U; copper Kα).
Lines closer than 0.1° are merged.

Crystal structure
```
data_KSrBiWO6
_chemical_formula_sum 'K4 Sr4 Bi4 W4 O24'
_cell_length_a 8.5448
_cell_length_b 8.5448
_cell_length_c 8.5448
_cell_angle_alpha 90.00
_cell_angle_beta 90.00
_cell_angle_gamma 90.00
_space_group_name_H-M_alt 'F -4 3 m'
_space_group_IT_number 216
_space_group_name_Hall 'F -4 2 3'
loop_
_atom_site_label
_atom_site_fract_x
_atom_site_fract_y
_atom_site_fract_z
K1 0.0000 0.0000 0.0000
Sr1 0.0000 0.0000 0.5000
Bi1 0.2500 0.2500 0.7500
W1 0.2500 0.2500 0.2500
O1 0.0217 0.2500 0.2500
```

Peak list (10 most intense, 2θ = 10–90°, low angle first)
2θ (°)	intensity	index
20.79	43	2 0 0
29.57	100	2 2 0
42.31	30	4 0 0
47.59	20	4 2 0
52.46	41	4 2 2
61.38	19	4 4 0
65.55	9	6 0 0
69.58	19	6 2 0
77.37	6	4 4 4
84.93	22	6 4 2


Record 2
Structure and theoretical powder diffraction line list of Mn2ZnO4 (a cell relaxed with GGA+U; copper Kα).
Lines closer than 0.1° are merged.

Crystal structure
```
data_Mn2ZnO4
_chemical_formula_sum 'Mn8 Zn4 O16'
_cell_length_a 6.1527
_cell_length_b 6.1527
_cell_length_c 8.3385
_cell_angle_alpha 90.00
_cell_angle_beta 90.00
_cell_angle_gamma 90.00
_space_group_name_H-M_alt 'I 41/a'
_space_group_IT_number 88
loop_
_space_group_symop_operation_xyz
'x,y,z'
'-x,-y,-z'
'-y+3/4,x+1/4,z+1/4'
'y+3/4,-x+1/4,-z+1/4'
'-x+1/2,-y,z+1/2'
'x+1/2,y,-z+1/2'
'y+3/4,-x+3/4,z+3/4'
'-y+3/4,x+3/4,-z+3/4'
'x+1/2,y+1/2,z+1/2'
'-x+1/2,-y+1/2,-z+1/2'
'-y+1/4,x+3/4,z+3/4'
'y+1/4,-x+3/4,-z+3/4'
'-x,-y+1/2,z'
'x,y+1/2,-z'
'y+1/4,-x+1/4,z+1/4'
'-y+1/4,x+1/4,-z+1/4'
loop_
_atom_site_label
_atom_site_fract_x
_atom_site_fract_y
_atom_site_fract_z
Mn1 0.0000 0.0000 0.0000
Zn1 0.0000 0.2500 0.6250
O1 0.0275 0.4828 0.2351
```

Peak list (10 most intense, 2θ = 10–90°, low angle first)
2θ (°)	intensity	index
29.03	17	2 0 0
29.68	34	1 1 2
34.32	100	2 1 1
35.44	41	1 0 3
41.51	12	2 2 0
51.86	13	1 3 2
54.92	29	3 2 1
57.23	14	1 0 5
60.16	21	4 0 0
61.62	38	2 2 4


Record 3
Structure and theoretical powder diffraction line list of Co3O4 (a cell relaxed with GGA+U; copper Kα).
Lines closer than 0.1° are merged.

Crystal structure
```
data_Co3O4
_chemical_formula_sum 'Co12 O16'
_cell_length_a 5.9433
_cell_length_b 5.9433
_cell_length_c 8.3908
_cell_angle_alpha 90.00
_cell_angle_beta 90.00
_cell_angle_gamma 90.00
_space_group_name_H-M_alt 'I 41 m d'
_space_group_IT_number 109
_space_group_name_Hall 'I 4bw -2'
loop_
_atom_site_label
_atom_site_fract_x
_atom_site_fract_y
_atom_site_fract_z
Co1 0.0000 0.0000 0.0000
Co2 0.0000 0.2520 0.6258
O1 0.0000 0.2307 0.3834
O2 0.0000 0.2684 0.8629
```

Peak list (10 most intense, 2θ = 10–90°, low angle first)
2θ (°)	intensity	index
18.29	10	1 0 1
30.09	29	1 1 2
35.44	100	2 1 1
37.07	10	2 0 2
43.07	20	2 2 0
53.43	10	3 1 2
56.96	36	1 0 5
62.55	44	4 0 0
74.00	10	3 0 5
89.62	14	4 1 5


Record 4
Structure and theoretical powder diffraction line list of LaCrC6N6O5 (a cell relaxed with GGA+U; copper Kα).
Lines closer than 0.1° are merged.

Crystal structure
```
data_LaCrC6N6O5
_chemical_formula_sum 'La2 Cr2 C12 N12 O10'
_cell_length_a 8.0870
_cell_length_b 13.5671
_cell_length_c 8.1433
_cell_angle_alpha 90.00
_cell_angle_beta 119.68
_cell_angle_gamma 90.00
_space_group_name_H-M_alt 'P 1 21/m 1'
_space_group_IT_number 11
loop_
_space_group_symop_operation_xyz
'x,y,z'
'-x,-y,-z'
'-x,y+1/2,-z'
'x,-y+1/2,z'
loop_
_atom_site_label
_atom_site_fract_x
_atom_site_fract_y
_atom_site_fract_z
La1 0.1673 0.2500 0.3360
Cr1 0.5000 0.0000 0.0000
C1 0.2534 0.5861 0.8967
C2 0.3616 0.0847 0.7556
C3 0.3909 0.0866 0.1377
N1 0.1128 0.6326 0.8319
N2 0.2824 0.1304 0.6157
N3 0.3283 0.1336 0.2154
O1 0.0049 0.2500 0.9428
O2 0.1069 0.7500 0.4251
O3 0.1657 0.6701 0.3827
O4 0.3956 0.7500 0.4065
```

Peak list (10 most intense, 2θ = 10–90°, low angle first)
2θ (°)	intensity	index
13.05	19	0 2 0
14.17	59	0 1 1
18.16	100	1 2 -1
21.81	26	1 0 -2
21.98	14	2 0 -1
32.28	21	2 3 0
34.36	17	1 4 1
34.44	15	1 4 -2
34.52	12	2 4 -1
36.15	12	1 2 2


Record 5
Structure and theoretical powder diffraction line list of LiEu2CoO4 (a cell relaxed with GGA+U; copper Kα).
Lines closer than 0.1° are merged.

Crystal structure
```
data_LiEu2CoO4
_chemical_formula_sum 'Li1 Eu2 Co1 O4'
_cell_length_a 3.6824
_cell_length_b 3.7359
_cell_length_c 8.8004
_cell_angle_alpha 78.02
_cell_angle_beta 78.11
_cell_angle_gamma 89.99
_space_group_name_H-M_alt 'P 1'
_space_group_IT_number 1
loop_
_space_group_symop_operation_xyz
'x,y,z'
loop_
_atom_site_label
_atom_site_fract_x
_atom_site_fract_y
_atom_site_fract_z
Li1 0.0000 0.0000 0.0000
Eu1 0.1731 0.1750 0.6542
Eu2 0.8257 0.8264 0.3448
Co1 0.5000 0.5001 0.9999
O1 0.9997 0.4998 0.0004
O2 0.3062 0.3089 0.3829
O3 0.5002 0.0003 0.9996
O4 0.6924 0.6935 0.6162
```

Peak list (10 most intense, 2θ = 10–90°, low angle first)
2θ (°)	intensity	index
10.51	38	0 0 1
28.64	52	0 1 -1
28.78	51	0 1 2
29.00	100	1 0 2
31.90	63	0 0 3
34.19	83	1 1 1
35.84	25	1 1 0
47.46	29	1 -1 3
48.75	20	0 2 1
49.51	19	2 0 1


Record 6
Structure and theoretical powder diffraction line list of Cs4Mn2PdF12 (a cell relaxed with GGA+U; copper Kα).
Lines closer than 0.1° are merged.

Crystal structure
```
data_Cs4Mn2PdF12
_chemical_formula_sum 'Cs16 Mn8 Pd4 F48'
_cell_length_a 8.7376
_cell_length_b 8.7376
_cell_length_c 19.7572
_cell_angle_alpha 90.00
_cell_angle_beta 90.00
_cell_angle_gamma 90.00
_space_group_name_H-M_alt 'I 41/a m d'
_space_group_IT_number 141
loop_
_space_group_symop_operation_xyz
'x,y,z'
'-x,-y,-z'
'-y+1/4,x+3/4,z+1/4'
'y+1/4,-x+3/4,-z+1/4'
'-x+1/2,-y,z+1/2'
'x+1/2,y,-z+1/2'
'y+1/4,-x+1/4,z+3/4'
'-y+1/4,x+1/4,-z+3/4'
'x,-y,-z'
'-x,y,z'
'-y+1/4,-x+1/4,-z+3/4'
'y+1/4,x+1/4,z+3/4'
'-x+1/2,y,-z+1/2'
'x+1/2,-y,z+1/2'
'y+1/4,x+3/4,-z+1/4'
'-y+1/4,-x+3/4,z+1/4'
'x+1/2,y+1/2,z+1/2'
'-x+1/2,-y+1/2,-z+1/2'
'-y+3/4,x+1/4,z+3/4'
'y+3/4,-x+1/4,-z+3/4'
'-x,-y+1/2,z'
'x,y+1/2,-z'
'y+3/4,-x+3/4,z+1/4'
'-y+3/4,x+3/4,-z+1/4'
'x+1/2,-y+1/2,-z+1/2'
'-x+1/2,y+1/2,z+1/2'
'-y+3/4,-x+3/4,-z+1/4'
'y+3/4,x+3/4,z+1/4'
'-x,y+1/2,-z'
'x,-y+1/2,z'
'y+3/4,x+1/4,-z+3/4'
'-y+3/4,-x+1/4,z+3/4'
loop_
_atom_site_label
_atom_site_fract_x
_atom_site_fract_y
_atom_site_fract_z
Cs1 0.2417 0.0000 0.0000
Mn1 0.0000 0.2500 0.1277
Pd1 0.0000 0.2500 0.3750
F1 0.0000 0.0178 0.3757
F2 0.0000 0.0372 0.1278
F3 0.0000 0.2500 0.0323
F4 0.0000 0.2500 0.2227
```

Peak list (10 most intense, 2θ = 10–90°, low angle first)
2θ (°)	intensity	index
27.25	100	2 0 4
28.90	41	2 2 0
34.24	29	2 2 4
36.38	20	0 0 8
41.33	30	4 0 0
47.11	17	2 2 8
50.22	34	4 2 4
56.22	20	4 0 8
60.05	14	2 0 12
75.52	13	4 2 12


Record 7
Structure and theoretical powder diffraction line list of NaMgMn2O4 (a cell relaxed with GGA+U; copper Kα).
Lines closer than 0.1° are merged.

Crystal structure
```
data_NaMgMn2O4
_chemical_formula_sum 'Na1 Mg1 Mn2 O4'
_cell_length_a 3.1522
_cell_length_b 5.3070
_cell_length_c 5.4179
_cell_angle_alpha 107.30
_cell_angle_beta 91.87
_cell_angle_gamma 92.43
_space_group_name_H-M_alt 'P -1'
_space_group_IT_number 2
loop_
_space_group_symop_operation_xyz
'x,y,z'
'-x,-y,-z'
loop_
_atom_site_label
_atom_site_fract_x
_atom_site_fract_y
_atom_site_fract_z
Na1 0.0000 0.0000 0.0000
Mg1 0.5000 0.0000 0.5000
Mn1 0.0000 0.5000 0.5000
Mn2 0.5000 0.5000 0.0000
O1 0.0006 0.2587 0.7220
O2 0.4560 0.7310 0.7213
```

Peak list (10 most intense, 2θ = 10–90°, low angle first)
2θ (°)	intensity	index
17.53	74	0 1 0
34.72	27	0 0 2
35.18	25	1 -1 1
35.45	49	1 1 -1
39.03	100	-1 1 1
41.70	77	1 1 1
41.84	78	0 2 -2
58.19	50	1 1 -3
58.70	24	2 0 0
58.90	25	1 -3 1


Record 8
Structure and theoretical powder diffraction line list of CaFeO2 (a cell relaxed with GGA+U; copper Kα).
Lines closer than 0.1° are merged.

Crystal structure
```
data_CaFeO2
_chemical_formula_sum 'Ca2 Fe2 O4'
_cell_length_a 5.5643
_cell_length_b 5.5643
_cell_length_c 3.4520
_cell_angle_alpha 90.00
_cell_angle_beta 90.00
_cell_angle_gamma 90.00
_space_group_name_H-M_alt 'P -4 21 m'
_space_group_IT_number 113
loop_
_space_group_symop_operation_xyz
'x,y,z'
'y,-x,-z'
'-x,-y,z'
'-y,x,-z'
'x+1/2,-y+1/2,-z'
'y+1/2,x+1/2,z'
'-x+1/2,y+1/2,-z'
'-y+1/2,-x+1/2,z'
loop_
_atom_site_label
_atom_site_fract_x
_atom_site_fract_y
_atom_site_fract_z
Ca1 0.0000 0.5000 0.0981
Fe1 0.0000 0.0000 0.5000
O1 0.2185 0.7185 0.6364
```

Peak list (10 most intense, 2θ = 10–90°, low angle first)
2θ (°)	intensity	index
25.81	13	0 0 1
32.17	33	2 0 0
34.57	100	1 1 1
44.90	9	2 1 1
46.14	37	2 2 0
58.91	39	3 1 1
63.42	9	2 0 2
67.31	10	4 0 0
76.57	6	4 2 0
77.92	7	3 3 1


Record 9
Structure and theoretical powder diffraction line list of Ca2SbWO6 (a cell relaxed with GGA+U; copper Kα).
Lines closer than 0.1° are merged.

Crystal structure
```
data_Ca2SbWO6
_chemical_formula_sum 'Ca8 Sb4 W4 O24'
_cell_length_a 8.3878
_cell_length_b 8.3878
_cell_length_c 8.3878
_cell_angle_alpha 90.00
_cell_angle_beta 90.00
_cell_angle_gamma 90.00
_space_group_name_H-M_alt 'F m -3 m'
_space_group_IT_number 225
_space_group_name_Hall '-F 4 2 3'
loop_
_atom_site_label
_atom_site_fract_x
_atom_site_fract_y
_atom_site_fract_z
Ca1 0.2500 0.2500 0.2500
Sb1 0.0000 0.0000 0.0000
W1 0.0000 0.0000 0.5000
O1 0.0000 0.0000 0.2638
```

Peak list (10 most intense, 2θ = 10–90°, low angle first)
2θ (°)	intensity	index
18.32	8	1 1 1
21.18	60	2 0 0
30.14	100	2 2 0
43.14	34	4 0 0
48.54	27	4 2 0
53.52	40	4 2 2
62.65	20	4 4 0
66.93	13	6 0 0
71.08	17	6 2 0
86.91	21	6 4 2